Computed powder diffraction line list
Compound: Na3Er3NpO8
Radiation: Cu Kα X-rays
Structure: DFT lattice parameters and positions (GGA-PBE)

Structural model:
Unit cell a=6.8454 b=6.8454 c=16.8506 alpha=90.00 beta=90.00 gamma=120.00
Space group R-3m (No. 166, hexagonal axes)
Symmetry-distinct sites (fractional):
Na (0.0000, 0.5000, 0.0000) [9 per cell]
Er (0.0000, 0.5000, 0.5000) [9 per cell]
Np (0.0000, 0.0000, 0.5000) [3 per cell]
O (0.0000, 0.0000, 0.2352) [6 per cell]
O (0.0080, 0.5040, 0.2328) [18 per cell]

Most intense lines, 10° ≤ 2θ ≤ 90°, by angle:
Position (°2θ)  Rel. int.  h k l
15.78  100.0  0 0 3
30.62  49.0  0 2 1
32.01  47.8  2 0 2
37.09  61.5  0 2 4
56.19  21.6  2 2 3
63.70  22.9  2 2 6